No. 1
Calculated powder diffraction line list of Nd6AlTl5 for Cu Kα, from a cell relaxed with GGA-PBE.
Neutral-atom scattering factors, no anomalous dispersion.

The 8 most intense peaks (2θ from 10° to 90°), most intense first:
- 32.68 deg, rel. 100
- 32.53 deg, rel. 51
- 58.13 deg, rel. 39
- 58.42 deg, rel. 19
- 46.66 deg, rel. 19
- 68.48 deg, rel. 12
- 47.12 deg, rel. 9
- 77.54 deg, rel. 8

Structure:
Cell: 9.5260 9.5260 9.5260 Å, 146.43 132.23 59.65°
Sites, in units of the cell vectors:
Nd  0.0824  0.3371  0.7453
Nd  0.2414  0.0000  0.2414
Nd  0.4082  0.6629  0.7453
Nd  0.5918  0.3371  0.2547
Nd  0.7586  0.0000  0.7586
Nd  0.9176  0.6629  0.2547
Al  0.0000  0.5000  0.5000
Tl  0.1713  0.1713  0.0000
Tl  0.3339  0.8339  0.5000
Tl  0.5000  0.5000  0.0000
Tl  0.6661  0.1661  0.5000
Tl  0.8287  0.8287  0.0000

=====

No. 2
Calculated powder diffraction line list of AgPb for Cu Kα, from a cell relaxed with GGA-PBE.
Neutral-atom scattering factors, no anomalous dispersion.

The 8 most intense peaks (2θ from 10° to 90°), most intense first:
- 35.08 deg, rel. 100
- 34.43 deg, rel. 28
- 62.07 deg, rel. 25
- 33.48 deg, rel. 25
- 48.78 deg, rel. 17
- 60.88 deg, rel. 14
- 30.36 deg, rel. 13
- 63.35 deg, rel. 12

Structure:
Cell: 6.2073 6.2073 6.2073 Å, 147.14 130.37 60.81°
Sites, in units of the cell vectors:
Ag  0.3933  0.1433  0.2500
Ag  0.6067  0.8567  0.7500
Pb  0.1413  0.3913  0.7500
Pb  0.8587  0.6087  0.2500

=====

No. 3
Calculated powder diffraction line list of Ce5DyS6 for Cu Kα, from a cell relaxed with GGA-PBE.
Neutral-atom scattering factors, no anomalous dispersion.

The 8 most intense peaks (2θ from 10° to 90°), most intense first:
- 31.64 deg, rel. 100
- 27.31 deg, rel. 74
- 45.35 deg, rel. 72
- 53.75 deg, rel. 36
- 75.12 deg, rel. 32
- 56.35 deg, rel. 25
- 83.79 deg, rel. 24
- 72.90 deg, rel. 13

Structure:
Cell: 6.9281 6.9281 6.9264 Å, 99.61 99.61 120.01°
Sites, in units of the cell vectors:
Ce  0.0000  0.0000  0.0000
Ce  0.1664  0.8336  0.5000
Ce  0.3319  0.6681  0.0000
Ce  0.6681  0.3319  0.0000
Ce  0.8336  0.1664  0.5000
Dy  0.5000  0.5000  0.5000
S  0.0908  0.4184  0.2548
S  0.2551  0.2551  0.7473
S  0.4184  0.0908  0.2548
S  0.5816  0.9092  0.7452
S  0.7449  0.7449  0.2527
S  0.9092  0.5816  0.7452

=====

No. 4
Calculated powder diffraction line list of NaSc5Se8 for Cu Kα, from a cell relaxed with GGA-PBE.
Neutral-atom scattering factors, no anomalous dispersion.

The 8 most intense peaks (2θ from 10° to 90°), most intense first:
- 31.43 deg, rel. 100
- 45.04 deg, rel. 96
- 27.13 deg, rel. 73
- 53.38 deg, rel. 29
- 41.20 deg, rel. 26
- 83.13 deg, rel. 25
- 74.55 deg, rel. 25
- 55.96 deg, rel. 22

Structure:
Cell: 8.0506 8.0506 8.0506 Å, 60.00 60.00 60.00°
Sites, in units of the cell vectors:
Na  0.0000  0.0000  0.0000
Sc  0.1084  0.6305  0.6305
Sc  0.2500  0.2500  0.2500
Sc  0.6305  0.1084  0.6305
Sc  0.6305  0.6305  0.1084
Sc  0.6305  0.6305  0.6305
Se  0.3825  0.3825  0.3825
Se  0.3825  0.3825  0.8526
Se  0.3825  0.8526  0.3825
Se  0.4101  0.8633  0.8633
Se  0.8526  0.3825  0.3825
Se  0.8633  0.4101  0.8633
Se  0.8633  0.8633  0.4101
Se  0.8633  0.8633  0.8633